Record 1
TaFe6: simulated PXRD pattern (λ = 1.5418 Å (Cu Kα)), based on a GGA-PBE-relaxed structure.
No peak broadening, texture or thermal motion is included.

Largest 10 diffraction maxima, sorted by position, 2θ = 10–90°:
- 2θ = 21.44°, 4.145 Å, intensity 7
- 2θ = 30.50°, 2.931 Å, intensity 44
- 2θ = 37.59°, 2.393 Å, intensity 100
- 2θ = 49.15°, 1.854 Å, intensity 2
- 2θ = 54.21°, 1.692 Å, intensity 3
- 2θ = 58.96°, 1.567 Å, intensity 52
- 2θ = 63.48°, 1.465 Å, intensity 16
- 2θ = 72.06°, 1.311 Å, intensity 14
- 2θ = 76.18°, 1.250 Å, intensity 12
- 2θ = 84.23°, 1.150 Å, intensity 2

Structural model:
```
TaFe6
1.0
-2.931 2.931 2.931
2.931 -2.931 2.931
2.931 2.931 -2.931
Ta Fe
1 6
direct
0.000 0.000 0.000
0.250 0.500 0.750
0.250 0.750 0.500
0.500 0.250 0.750
0.500 0.750 0.250
0.750 0.250 0.500
0.750 0.500 0.250
```


Record 2
Ba5Al2Ga5: simulated PXRD pattern (λ = 1.5418 Å (Cu Kα)), based on a GGA-PBE-relaxed structure.
No peak broadening, texture or thermal motion is included.

Largest 10 diffraction maxima, sorted by position, 2θ = 10–90°:
- 2θ = 23.36°, 3.807 Å, intensity 19
- 2θ = 25.66°, 3.472 Å, intensity 22
- 2θ = 28.01°, 3.185 Å, intensity 54
- 2θ = 28.33°, 3.150 Å, intensity 32
- 2θ = 29.29°, 3.049 Å, intensity 26
- 2θ = 29.85°, 2.994 Å, intensity 19
- 2θ = 30.93°, 2.891 Å, intensity 100
- 2θ = 36.34°, 2.472 Å, intensity 34
- 2θ = 38.43°, 2.342 Å, intensity 30
- 2θ = 43.21°, 2.094 Å, intensity 26

Structural model:
```
Ba5Al2Ga5
1.0
6.555 -2.094 0.000
6.555 2.094 0.000
-2.253 0.000 14.968
Ba Al Ga
5 2 5
direct
0.000 0.000 0.000
0.176 0.176 0.382
0.277 0.277 0.152
0.723 0.723 0.848
0.824 0.824 0.618
0.465 0.465 0.326
0.535 0.535 0.674
0.111 0.111 0.599
0.431 0.431 0.809
0.500 0.500 0.500
0.569 0.569 0.191
0.889 0.889 0.401
```


Copy entry 1 word for word.
TaFe6: simulated PXRD pattern (λ = 1.5418 Å (Cu Kα)), based on a GGA-PBE-relaxed structure.
No peak broadening, texture or thermal motion is included.

Largest 10 diffraction maxima, sorted by position, 2θ = 10–90°:
- 2θ = 21.44°, 4.145 Å, intensity 7
- 2θ = 30.50°, 2.931 Å, intensity 44
- 2θ = 37.59°, 2.393 Å, intensity 100
- 2θ = 49.15°, 1.854 Å, intensity 2
- 2θ = 54.21°, 1.692 Å, intensity 3
- 2θ = 58.96°, 1.567 Å, intensity 52
- 2θ = 63.48°, 1.465 Å, intensity 16
- 2θ = 72.06°, 1.311 Å, intensity 14
- 2θ = 76.18°, 1.250 Å, intensity 12
- 2θ = 84.23°, 1.150 Å, intensity 2

Structural model:
```
TaFe6
1.0
-2.931 2.931 2.931
2.931 -2.931 2.931
2.931 2.931 -2.931
Ta Fe
1 6
direct
0.000 0.000 0.000
0.250 0.500 0.750
0.250 0.750 0.500
0.500 0.250 0.750
0.500 0.750 0.250
0.750 0.250 0.500
0.750 0.500 0.250
```


Please write out number 1 again, unchanged.
TaFe6: simulated PXRD pattern (λ = 1.5418 Å (Cu Kα)), based on a GGA-PBE-relaxed structure.
No peak broadening, texture or thermal motion is included.

Largest 10 diffraction maxima, sorted by position, 2θ = 10–90°:
- 2θ = 21.44°, 4.145 Å, intensity 7
- 2θ = 30.50°, 2.931 Å, intensity 44
- 2θ = 37.59°, 2.393 Å, intensity 100
- 2θ = 49.15°, 1.854 Å, intensity 2
- 2θ = 54.21°, 1.692 Å, intensity 3
- 2θ = 58.96°, 1.567 Å, intensity 52
- 2θ = 63.48°, 1.465 Å, intensity 16
- 2θ = 72.06°, 1.311 Å, intensity 14
- 2θ = 76.18°, 1.250 Å, intensity 12
- 2θ = 84.23°, 1.150 Å, intensity 2

Structural model:
```
TaFe6
1.0
-2.931 2.931 2.931
2.931 -2.931 2.931
2.931 2.931 -2.931
Ta Fe
1 6
direct
0.000 0.000 0.000
0.250 0.500 0.750
0.250 0.750 0.500
0.500 0.250 0.750
0.500 0.750 0.250
0.750 0.250 0.500
0.750 0.500 0.250
```